Calculated X-ray powder pattern of AlHg2Sb for CuKα, from a structure optimized by DFT (PBE).

Structure:
a b c (Å): 3.2902 3.2902 9.3472
angles (deg): 90.00 90.00 104.18
Fractional positions:
Al 0.0000 0.0000 0.0000
Hg 0.0000 0.0000 0.4787
Hg 0.5000 0.5000 0.2144
Sb 0.5000 0.5000 0.7743

Peak list (12 most intense, 2θ from 10° to 80°, by angle)
2θ/deg	I/Imax
28.65	16
29.59	29
34.03	100
34.55	26
38.53	14
44.83	13
45.48	9
52.70	11
57.11	14
57.81	12
61.58	18
75.70	10